[1]
This entry pairs a crystal structure of LaSm10Dy4 with its calculated XRD peak list. Radiation: Cu Kα (weighted mean of Kα1 and Kα2). Structure: a structure optimized by DFT (PBE).
Lines closer than 0.1° are merged.

Largest 8 diffraction maxima, sorted by position, 2θ = 10–90°:
2θ/deg  I_rel
28.03  62
28.44  37
29.73  42
31.37  100
34.49  90
35.90  37
44.97  61
66.42  32

```
LaSm10Dy4
1.0
-6.377 6.377 3.402
6.377 -6.377 3.402
6.377 6.377 -3.402
La Sm Dy
1 10 4
direct
0.000 0.000 0.000 La
0.043 0.881 0.420 Sm
0.119 0.538 0.162 Sm
0.250 0.750 0.500 Sm
0.376 0.957 0.838 Sm
0.462 0.624 0.580 Sm
0.538 0.376 0.420 Sm
0.624 0.043 0.162 Sm
0.750 0.250 0.500 Sm
0.881 0.462 0.838 Sm
0.957 0.119 0.580 Sm
0.322 0.567 0.890 Dy
0.433 0.322 0.755 Dy
0.567 0.678 0.245 Dy
0.678 0.433 0.110 Dy
```


[2]
This entry pairs a crystal structure of LaSm5Dy8 with its calculated XRD peak list. Radiation: Cu Kα (weighted mean of Kα1 and Kα2). Structure: a structure optimized by DFT (PBE).
Lines closer than 0.1° are merged.

Largest 8 diffraction maxima, sorted by position, 2θ = 10–90°:
2θ/deg  I_rel
29.87  37
31.14  100
31.33  48
32.52  45
32.82  45
47.83  19
61.39  29
62.15  14

```
LaSm5Dy8
1.0
8.696 -1.778 0.000
8.696 1.778 0.000
-7.939 0.000 14.852
La Sm Dy
1 5 8
direct
0.000 0.000 0.000 La
0.146 0.146 0.442 Sm
0.215 0.215 0.145 Sm
0.500 0.500 0.500 Sm
0.785 0.785 0.855 Sm
0.854 0.854 0.558 Sm
0.081 0.081 0.723 Dy
0.284 0.284 0.355 Dy
0.353 0.353 0.060 Dy
0.419 0.419 0.775 Dy
0.581 0.581 0.225 Dy
0.647 0.647 0.940 Dy
0.716 0.716 0.645 Dy
0.919 0.919 0.277 Dy
```